Computed X-ray powder pattern
Compound: MnPt3O8
Radiation: Cu Kα (weighted mean of Kα1 and Kα2)
Structure: a cell relaxed with GGA+U
Kinematic intensities with the Lorentz-polarization factor, no thermal factor.

The 10 most intense peaks (10° ≤ 2θ ≤ 90°), by angle:
2theta  d (Å)  I (rel.)
17.52  5.062  11
18.14  4.889  100
33.79  2.652  53
35.47  2.531  31
41.51  2.176  29
41.69  2.166  15
45.77  1.983  13
55.46  1.657  12
59.36  1.557  15
62.56  1.485  14

Structural model:
Unit cell a=6.0607 b=6.0607 c=6.0856 alpha=118.31 beta=118.31 gamma=61.84
Positions (direct):
Mn 0.0000 0.0000 0.0000
Pt 0.0000 0.5000 0.5000
Pt 0.5000 0.0000 0.5000
Pt 0.5000 0.5000 0.0000
O 0.2276 0.2276 0.2616
O 0.2276 0.7400 0.7739
O 0.2600 0.7724 0.2261
O 0.2664 0.2664 0.7320
O 0.7336 0.7336 0.2680
O 0.7400 0.2276 0.7739
O 0.7724 0.2600 0.2261
O 0.7724 0.7724 0.7384